[1]
Starting from a structure optimized by DFT (PBE+U), the X-ray diffraction stick pattern of ScFeO3 was simulated for Cu Kα, 1.54184 Å.
Neutral-atom scattering factors, no anomalous dispersion.

Top 10 peaks for 10 to 80 degrees two-theta, by intensity:
| 2theta | d [Å] | I_rel |
| --- | --- | --- |
| 31.6 | 2.835 | 100 |
| 29.9 | 2.986 | 50 |
| 54.5 | 1.685 | 48 |
| 34.2 | 2.622 | 44 |
| 63.4 | 1.467 | 29 |
| 49.3 | 1.848 | 27 |
| 55.9 | 1.644 | 22 |
| 43.4 | 2.087 | 13 |
| 63.1 | 1.473 | 10 |
| 64.3 | 1.448 | 10 |

Atomic structure:
Lattice parameters (Å, degrees): 3.369 3.369 11.944 90.00 90.00 120.00
Fractional positions:
Sc 0.000 0.000 0.000
Sc 0.000 0.000 0.500
Fe 0.333 0.667 0.250
Fe 0.667 0.333 0.750
O 0.000 0.000 0.250
O 0.000 0.000 0.750
O 0.333 0.667 0.081
O 0.333 0.667 0.419
O 0.667 0.333 0.581
O 0.667 0.333 0.919

---

[2]
Starting from a structure optimized by DFT (PBE+U), the X-ray diffraction stick pattern of ScFeO3 was simulated for Cu Kα, 1.54184 Å.
Neutral-atom scattering factors, no anomalous dispersion.

Top 10 peaks for 10 to 80 degrees two-theta, by intensity:
| 2theta | d [Å] | I_rel |
| --- | --- | --- |
| 34.4 | 2.607 | 100 |
| 34.2 | 2.619 | 99 |
| 49.6 | 1.839 | 42 |
| 33.2 | 2.699 | 39 |
| 35.8 | 2.512 | 34 |
| 49.1 | 1.857 | 30 |
| 63.5 | 1.466 | 25 |
| 24.2 | 3.677 | 23 |
| 55.7 | 1.651 | 20 |
| 54.1 | 1.694 | 16 |

Atomic structure:
Lattice parameters (Å, degrees): 5.023 5.397 7.427 89.89 89.65 89.98
Fractional positions:
Sc 0.029 0.077 0.250
Sc 0.471 0.578 0.249
Sc 0.529 0.422 0.751
Sc 0.971 0.923 0.750
Fe 0.000 0.500 0.000
Fe 0.000 0.500 0.500
Fe 0.500 0.000 0.000
Fe 0.500 0.000 0.500
O 0.141 0.556 0.741
O 0.180 0.801 0.430
O 0.193 0.812 0.068
O 0.306 0.312 0.431
O 0.319 0.301 0.069
O 0.360 0.056 0.759
O 0.640 0.944 0.241
O 0.681 0.699 0.931
O 0.694 0.688 0.569
O 0.807 0.188 0.932
O 0.820 0.199 0.570
O 0.859 0.444 0.259

---

[3]
Starting from a structure optimized by DFT (PBE+U), the X-ray diffraction stick pattern of FeSe3O8 was simulated for Cu Kα, 1.54184 Å.
Neutral-atom scattering factors, no anomalous dispersion.

Top 10 peaks for 10 to 80 degrees two-theta, by intensity:
| 2theta | d [Å] | I_rel |
| --- | --- | --- |
| 23.2 | 3.839 | 100 |
| 26.5 | 3.364 | 82 |
| 31.2 | 2.869 | 72 |
| 21.4 | 4.147 | 68 |
| 26.7 | 3.336 | 55 |
| 30.0 | 2.975 | 37 |
| 29.5 | 3.025 | 36 |
| 17.7 | 4.999 | 35 |
| 13.2 | 6.702 | 26 |
| 35.4 | 2.536 | 26 |

Atomic structure:
Lattice parameters (Å, degrees): 7.515 13.402 10.567 90.00 132.59 90.00
Fractional positions:
Fe 0.130 0.181 0.440
Fe 0.130 0.319 0.940
Fe 0.870 0.681 0.060
Fe 0.870 0.819 0.560
Se 0.007 0.636 0.432
Se 0.007 0.864 0.932
Se 0.331 0.501 0.239
Se 0.331 0.999 0.739
Se 0.334 0.701 0.946
Se 0.334 0.799 0.446
Se 0.666 0.201 0.554
Se 0.666 0.299 0.054
Se 0.669 0.001 0.261
Se 0.669 0.499 0.761
Se 0.993 0.136 0.068
Se 0.993 0.364 0.568
O 0.089 0.709 0.730
O 0.089 0.791 0.230
O 0.103 0.100 0.265
O 0.103 0.400 0.765
O 0.153 0.243 0.116
O 0.153 0.257 0.616
O 0.155 0.602 0.114
O 0.155 0.898 0.614
O 0.303 0.687 0.530
O 0.303 0.813 0.030
O 0.354 0.068 0.614
O 0.354 0.432 0.114
O 0.391 0.038 0.091
O 0.391 0.462 0.591
O 0.433 0.248 0.527
O 0.433 0.252 0.027
O 0.567 0.748 0.973
O 0.567 0.752 0.473
O 0.609 0.538 0.409
O 0.609 0.962 0.909
O 0.646 0.568 0.886
O 0.646 0.932 0.386
O 0.697 0.187 0.970
O 0.697 0.313 0.470
O 0.845 0.102 0.386
O 0.845 0.398 0.886
O 0.847 0.743 0.384
O 0.847 0.757 0.884
O 0.897 0.600 0.235
O 0.897 0.900 0.735
O 0.911 0.209 0.770
O 0.911 0.291 0.270

---

[4]
Starting from a structure optimized by DFT (PBE+U), the X-ray diffraction stick pattern of FeSe2O6 was simulated for Cu Kα, 1.54184 Å.
Neutral-atom scattering factors, no anomalous dispersion.

Top 10 peaks for 10 to 80 degrees two-theta, by intensity:
| 2theta | d [Å] | I_rel |
| --- | --- | --- |
| 28.1 | 3.171 | 100 |
| 26.9 | 3.317 | 55 |
| 13.3 | 6.634 | 51 |
| 24.8 | 3.587 | 45 |
| 34.1 | 2.630 | 37 |
| 28.8 | 3.098 | 33 |
| 28.3 | 3.149 | 31 |
| 20.8 | 4.279 | 29 |
| 25.5 | 3.497 | 24 |
| 30.3 | 2.949 | 23 |

Atomic structure:
Lattice parameters (Å, degrees): 6.634 10.041 8.179 90.00 90.59 90.00
Fractional positions:
Fe 0.052 0.006 0.198
Fe 0.052 0.494 0.698
Fe 0.948 0.506 0.302
Fe 0.948 0.994 0.802
Se 0.092 0.711 0.022
Se 0.092 0.789 0.522
Se 0.440 0.083 0.780
Se 0.440 0.417 0.280
Se 0.560 0.583 0.720
Se 0.560 0.917 0.220
Se 0.908 0.211 0.478
Se 0.908 0.289 0.978
O 0.021 0.128 0.997
O 0.021 0.372 0.497
O 0.062 0.663 0.822
O 0.062 0.837 0.322
O 0.099 0.125 0.386
O 0.099 0.375 0.886
O 0.254 0.534 0.270
O 0.254 0.966 0.770
O 0.353 0.003 0.150
O 0.353 0.497 0.650
O 0.479 0.149 0.596
O 0.479 0.351 0.096
O 0.521 0.649 0.904
O 0.521 0.851 0.404
O 0.647 0.503 0.350
O 0.647 0.997 0.850
O 0.746 0.034 0.230
O 0.746 0.466 0.730
O 0.901 0.625 0.114
O 0.901 0.875 0.614
O 0.938 0.163 0.678
O 0.938 0.337 0.178
O 0.979 0.628 0.503
O 0.979 0.872 0.003

---

[5]
Starting from a structure optimized by DFT (PBE+U), the X-ray diffraction stick pattern of FeSeO5 was simulated for Cu Kα, 1.54184 Å.
Neutral-atom scattering factors, no anomalous dispersion.

Top 10 peaks for 10 to 80 degrees two-theta, by intensity:
| 2theta | d [Å] | I_rel |
| --- | --- | --- |
| 18.3 | 4.837 | 100 |
| 27.6 | 3.228 | 69 |
| 27.8 | 3.205 | 60 |
| 25.7 | 3.468 | 57 |
| 25.3 | 3.515 | 51 |
| 34.9 | 2.570 | 47 |
| 33.3 | 2.693 | 33 |
| 35.3 | 2.545 | 32 |
| 53.9 | 1.700 | 23 |
| 41.4 | 2.183 | 18 |

Atomic structure:
Lattice parameters (Å, degrees): 5.486 5.486 7.022 105.40 105.40 100.17
Fractional positions:
Fe 0.000 0.000 0.000
Fe 0.000 0.000 0.500
Se 0.331 0.669 0.750
Se 0.669 0.331 0.250
O 0.069 0.931 0.250
O 0.114 0.681 0.881
O 0.259 0.367 0.580
O 0.319 0.886 0.619
O 0.367 0.259 0.080
O 0.633 0.741 0.920
O 0.681 0.114 0.381
O 0.741 0.633 0.420
O 0.886 0.319 0.119
O 0.931 0.069 0.750